1.
Starting from a crystal structure in Alexandria, relaxed with PBE, the powder X-ray diffraction pattern of PrLuScAl was simulated for a wavelength of 1.5418 Å.
Intensities are scaled so that the largest is 100.

Top 10 peaks for 10° ≤ 2θ ≤ 90°, in order of rising 2θ:
d [Å]	Rel. int.
3.728	48
2.636	100
2.153	15
1.864	18
1.667	21
1.522	37
1.318	11
1.243	10
1.179	16
1.124	6

Cell and atoms:
Lattice parameters (Å, degrees): 5.273 5.273 5.273 60.00 60.00 60.00
Sites, in units of the cell vectors:
Pr (0.000, 0.000, 0.000)
Lu (0.500, 0.500, 0.500)
Sc (0.250, 0.250, 0.250)
Al (0.750, 0.750, 0.750)

2.
Starting from a crystal structure in Alexandria, relaxed with PBE, the powder X-ray diffraction pattern of LuPuAl2 was simulated for a wavelength of 1.5418 Å.
Intensities are scaled so that the largest is 100.

Top 10 peaks for 10° ≤ 2θ ≤ 90°, in order of rising 2θ:
d [Å]	Rel. int.
4.230	50
3.258	54
2.581	100
2.303	36
2.115	14
2.023	29
1.774	20
1.629	13
1.558	22
1.377	29

Cell and atoms:
Lattice parameters (Å, degrees): 4.607 4.607 4.230 90.00 90.00 90.00
Sites, in units of the cell vectors:
Lu (0.000, 0.000, 0.000)
Pu (0.500, 0.500, 0.000)
Al (0.000, 0.500, 0.500)
Al (0.500, 0.000, 0.500)